1.
This entry pairs a crystal structure of Rb3Tb2ZrSe6 with its theoretical XRD peak list. Radiation: CuKα. Structure: a DFT-relaxed cell (GGA-PBE, Alexandria).
Peak positions follow from Bragg's law for the DFT cell and can differ from measured ones.

Cell and atoms:
Cell: 7.192 12.457 8.378 Å, 90.00 106.65 90.00°
Space group C2/m (No. 12)
Unique sites:
1 Rb 0.000 0.000 0.000 x2
2 Rb 0.000 0.330 0.000 x4
3 Tb 0.000 0.166 0.500 x4
4 Zr 0.000 0.500 0.500 x2
5 Se 0.225 0.340 0.696 x8
6 Se 0.245 0.000 0.697 x4

Most intense lines, 10° ≤ 2θ ≤ 90°, most intense first:
Position (°2θ)  d (Å)  I/Imax  h k l
28.92  3.087  100  1 3 1
43.60  2.076  34  0 6 0
39.02  2.308  34  2 0 2
11.02  8.027  24  0 0 1
53.17  1.723  17  4 0 0
71.11  1.326  14  4 6 0
36.13  2.486  11  2 0 -3
64.59  1.443  10  3 3 3
59.93  1.544  10  2 6 2
45.15  2.008  9  0 0 4


2.
This entry pairs a crystal structure of Nd3Cd2Au6 with its theoretical XRD peak list. Radiation: CuKα. Structure: a DFT-relaxed cell (GGA-PBE, Alexandria).
Peak positions follow from Bragg's law for the DFT cell and can differ from measured ones.

Cell and atoms:
Cell: 4.508 4.508 26.045 Å, 90.00 90.00 90.00°
Space group I4/mmm (No. 139)
Unique sites:
1 Nd 0.000 0.000 0.000 x2
2 Nd 0.000 0.000 0.199 x4
3 Cd 0.000 0.000 0.449 x4
4 Au 0.000 0.000 0.315 x4
5 Au 0.000 0.500 0.112 x8

Most intense lines, 10° ≤ 2θ ≤ 90°, most intense first:
Position (°2θ)  d (Å)  I/Imax  h k l
31.24  2.863  100  1 1 4
39.56  2.278  88  1 1 8
40.00  2.254  83  2 0 0
34.92  2.569  48  1 1 6
13.60  6.511  37  0 0 4
72.36  1.306  30  3 1 8
57.85  1.594  28  2 2 0
36.91  2.435  25  1 0 9
67.22  1.393  22  3 1 4
53.78  1.704  21  2 0 10


3.
This entry pairs a crystal structure of CeP3O12 with its theoretical XRD peak list. Radiation: CuKα. Structure: a DFT-relaxed cell (GGA-PBE, Alexandria).
Peak positions follow from Bragg's law for the DFT cell and can differ from measured ones.

Cell and atoms:
Cell: 7.2006 7.2006 5.8899 Å, 90.00 90.00 120.00°
Space group P-6 (No. 174)
Unique sites:
1 Ce 0.0000 0.0000 0.0000 x1
2 P 0.1583 0.7637 0.5000 x3
3 O 0.0768 0.8065 0.2830 x6
4 O 0.1025 0.5182 0.5000 x3
5 O 0.3507 0.0513 0.0000 x3

Most intense lines, 10° ≤ 2θ ≤ 90°, most intense first:
Position (°2θ)  d (Å)  I/Imax  h k l
14.20  6.236  100  1 0 0
20.74  4.282  85  1 0 1
29.07  3.072  32  1 1 1
32.49  2.756  27  2 0 1
49.54  1.840  24  2 1 2
46.32  1.960  17  3 0 1
38.18  2.357  17  2 1 0
41.26  2.188  13  1 2 1
55.34  1.660  12  1 3 1
28.63  3.118  12  2 0 0


4.
This entry pairs a crystal structure of LaTmCdGe with its theoretical XRD peak list. Radiation: CuKα. Structure: a DFT-relaxed cell (GGA-PBE, Alexandria).
Peak positions follow from Bragg's law for the DFT cell and can differ from measured ones.

Cell and atoms:
Cell: 7.425 7.425 7.425 Å, 90.00 90.00 90.00°
Space group F-43m (No. 216)
Unique sites:
1 La 0.000 0.000 0.000 x4
2 Tm 0.000 0.000 0.500 x4
3 Cd 0.250 0.250 0.250 x4
4 Ge 0.250 0.250 0.750 x4

Most intense lines, 10° ≤ 2θ ≤ 90°, most intense first:
Position (°2θ)  d (Å)  I/Imax  h k l
34.15  2.625  100  2 2 0
61.15  1.516  37  4 2 2
49.08  1.856  18  4 0 0
82.09  1.174  16  6 2 0
71.93  1.313  11  4 4 0
23.97  3.713  6  2 0 0
55.33  1.660  3  4 2 0
20.72  4.287  2  1 1 1
42.16  2.143  2  2 2 2
77.06  1.238  1  6 0 0